No. 1
This entry pairs a crystal structure of Cs2HgBO4 with its simulated powder XRD pattern. Radiation: Cu Kα, 1.54184 Å. Structure: a cell relaxed with GGA-PBE.

Structural model:
Unit cell a=5.8122 b=5.8122 c=5.8122 alpha=117.19 beta=117.19 gamma=94.94
Atoms (fractional coordinates):
Cs: 0.0000 0.0000 0.0000
Cs: 0.7500 0.2500 0.5000
Hg: 0.2500 0.7500 0.5000
B: 0.5000 0.5000 0.0000
O: 0.3019 0.2130 0.7186
O: 0.4167 0.6981 0.9111
O: 0.4944 0.5833 0.2814
O: 0.7870 0.5056 0.0889

Largest 6 diffraction maxima, most intense first, 10 to 90 degrees two-theta:
30.9 deg, I = 100; 29.5 deg, I = 52; 53.2 deg, I = 40; 18.5 deg, I = 20; 42.2 deg, I = 19; 55.8 deg, I = 19

No. 2
This entry pairs a crystal structure of MgH8Rh2Pb with its simulated powder XRD pattern. Radiation: Cu Kα, 1.54184 Å. Structure: a cell relaxed with GGA-PBE.

Structural model:
Unit cell a=6.4825 b=6.4825 c=6.4825 alpha=44.40 beta=44.40 gamma=44.40
Atoms (fractional coordinates):
Mg: 0.0000 0.0000 0.0000
H: 0.0956 0.6333 0.4100
H: 0.2084 0.2084 0.2084
H: 0.3667 0.5900 0.9044
H: 0.4100 0.0956 0.6333
H: 0.5900 0.9044 0.3667
H: 0.6333 0.4100 0.0956
H: 0.7916 0.7916 0.7916
H: 0.9044 0.3667 0.5900
Rh: 0.3051 0.3051 0.3051
Rh: 0.6949 0.6949 0.6949
Pb: 0.5000 0.5000 0.5000

Largest 6 diffraction maxima, most intense first, 10 to 90 degrees two-theta:
21.6 deg, I = 100; 36.7 deg, I = 81; 33.2 deg, I = 80; 29.3 deg, I = 54; 48.5 deg, I = 42; 50.3 deg, I = 25

No. 3
This entry pairs a crystal structure of BaCaNiH6 with its simulated powder XRD pattern. Radiation: Cu Kα, 1.54184 Å. Structure: a cell relaxed with GGA-PBE.

Structural model:
Unit cell a=5.0313 b=5.0313 c=4.9608 alpha=90.00 beta=90.00 gamma=120.00
Atoms (fractional coordinates):
Ba: 0.0000 0.0000 0.0000
Ca: 0.3333 0.6667 0.5083
Ni: 0.6667 0.3333 0.6479
H: 0.3506 0.1753 0.4761
H: 0.5168 0.0336 0.8469
H: 0.5168 0.4832 0.8469
H: 0.8247 0.1753 0.4761
H: 0.8247 0.6494 0.4761
H: 0.9664 0.4832 0.8469

Largest 6 diffraction maxima, most intense first, 10 to 90 degrees two-theta:
27.2 deg, I = 100; 35.7 deg, I = 43; 45.5 deg, I = 25; 59.1 deg, I = 22; 41.9 deg, I = 20; 20.4 deg, I = 19

No. 4
This entry pairs a crystal structure of Sc3B11 with its simulated powder XRD pattern. Radiation: Cu Kα, 1.54184 Å. Structure: a cell relaxed with GGA-PBE.

Structural model:
Unit cell a=6.2982 b=6.2982 c=6.2982 alpha=150.46 beta=105.41 gamma=82.20
Atoms (fractional coordinates):
Sc: 0.0000 0.0000 0.0000
Sc: 0.3274 0.3274 0.0000
Sc: 0.6726 0.6726 0.0000
B: 0.0232 0.6622 0.3610
B: 0.0951 0.8388 0.2563
B: 0.2608 0.5000 0.7608
B: 0.3012 0.6622 0.6390
B: 0.4175 0.1612 0.2563
B: 0.5000 0.0000 0.5000
B: 0.5825 0.8388 0.7437
B: 0.6988 0.3378 0.3610
B: 0.7392 0.5000 0.2392
B: 0.9049 0.1612 0.7437
B: 0.9768 0.3378 0.6390

Largest 6 diffraction maxima, most intense first, 10 to 90 degrees two-theta:
46.8 deg, I = 100; 30.2 deg, I = 62; 30.6 deg, I = 60; 40.0 deg, I = 40; 45.5 deg, I = 40; 23.3 deg, I = 39

Number 2 is which compound? MgH8Rh2Pb

What did the second record say?
This entry pairs a crystal structure of MgH8Rh2Pb with its simulated powder XRD pattern. Radiation: Cu Kα, 1.54184 Å. Structure: a cell relaxed with GGA-PBE.

Structural model:
Unit cell a=6.4825 b=6.4825 c=6.4825 alpha=44.40 beta=44.40 gamma=44.40
Atoms (fractional coordinates):
Mg: 0.0000 0.0000 0.0000
H: 0.0956 0.6333 0.4100
H: 0.2084 0.2084 0.2084
H: 0.3667 0.5900 0.9044
H: 0.4100 0.0956 0.6333
H: 0.5900 0.9044 0.3667
H: 0.6333 0.4100 0.0956
H: 0.7916 0.7916 0.7916
H: 0.9044 0.3667 0.5900
Rh: 0.3051 0.3051 0.3051
Rh: 0.6949 0.6949 0.6949
Pb: 0.5000 0.5000 0.5000

Largest 6 diffraction maxima, most intense first, 10 to 90 degrees two-theta:
21.6 deg, I = 100; 36.7 deg, I = 81; 33.2 deg, I = 80; 29.3 deg, I = 54; 48.5 deg, I = 42; 50.3 deg, I = 25